1.
# NdSc2TeO8
Computed X-ray powder pattern, Cu Kα X-rays. Input: a PBE-relaxed structure.
No peak broadening, texture or thermal motion is included.

The 10 most intense peaks (2θ = 15–90°), most intense first:
h k l, 2θ/deg, I/Imax
2 0 0, 26.1, 100
1 1 2, 32.0, 79
3 1 2, 50.0, 67
1 1 0, 18.4, 48
0 2 2, 37.2, 25
3 3 2, 64.0, 21
2 2 0, 37.3, 19
0 2 4, 60.4, 17
3 1 0, 41.9, 15
0 0 2, 26.0, 12

Structure:
a b c (Å): 6.809 6.828 6.858
angles (deg): 90.00 90.00 90.00
Space group Cmmm (No. 65)
Inequivalent atoms, fractional coordinates:
Nd  0.000  0.000  0.000 x2
Sc  0.000  0.500  0.265 x4
Te  0.000  0.000  0.500 x2
O  0.000  0.193  0.291 x8
O  0.166  0.500  0.000 x4
O  0.211  0.500  0.500 x4

=====

2.
# TbSmO3
Computed X-ray powder pattern, Cu Kα X-rays. Input: a PBE-relaxed structure.
No peak broadening, texture or thermal motion is included.

The 10 most intense peaks (2θ = 15–90°), most intense first:
h k l, 2θ/deg, I/Imax
1 0 0, 16.9, 100
1 1 0, 29.4, 74
1 1 1, 41.5, 72
1 0 1, 33.4, 23
3 0 1, 60.6, 23
2 0 1, 45.1, 22
0 0 1, 28.7, 20
3 0 0, 52.2, 15
2 1 0, 45.6, 15
1 1 2, 67.6, 14

Structure:
a b c (Å): 6.0732 6.0732 3.1143
angles (deg): 90.00 90.00 120.00
Space group P-6m2 (No. 187)
Inequivalent atoms, fractional coordinates:
Tb  0.0000  0.0000  0.0000 x1
Sm  0.6667  0.3333  0.0000 x1
O  0.3282  0.1641  0.5000 x3